Record 1
# Cs9Rb6Au
Simulated X-ray powder pattern, Cu Kα X-rays. Input: the PBE geometry in Alexandria.

Cell and atoms:
abc: 12.052 12.052 21.313
angles: 90.00 90.00 90.00
Space group I4/m (No. 87)
Unique sites:
Cs  0.000  0.000  0.000
Cs  0.104  0.304  0.161
Rb  0.000  0.000  0.336
Rb  0.091  0.276  0.500
Au  0.000  0.000  0.500

Most intense lines, 2θ from 10° to 80°, in order of rising 2θ:
d [Å]  Rel. int.
5.232  15
4.294  100
3.811  58
3.552  24
2.695  23
2.599  41
2.283  34
2.168  14
2.147  23
1.537  14

Record 2
# PmTm2Zr3N6
Simulated X-ray powder pattern, Cu Kα X-rays. Input: the PBE geometry in Alexandria.

Cell and atoms:
abc: 5.801 10.033 5.844
angles: 90.00 109.37 90.00
Space group C2/m (No. 12)
Unique sites:
Pm  0.000  0.000  0.000
Tm  0.000  0.333  0.000
Zr  0.000  0.168  0.500
Zr  0.000  0.500  0.500
N  0.239  0.328  0.734
N  0.245  0.500  0.267

Most intense lines, 2θ from 10° to 80°, in order of rising 2θ:
d [Å]  Rel. int.
5.514  13
2.757  33
2.735  97
2.374  100
1.683  34
1.673  33
1.437  14
1.431  28
1.427  14
1.368  16

Record 3
# MoSeCl3
Simulated X-ray powder pattern, Cu Kα X-rays. Input: the PBE geometry in Alexandria.

Cell and atoms:
abc: 6.650 14.207 12.273
angles: 90.00 97.22 90.00
Space group C2/c (No. 15)
Unique sites:
Mo  0.066  0.053  0.148
Se  0.164  0.183  0.294
Cl  0.121  0.092  0.537
Cl  0.141  0.388  0.921
Cl  0.233  0.038  0.801

Most intense lines, 2θ from 10° to 80°, in order of rising 2θ:
d [Å]  Rel. int.
7.104  40
6.136  84
6.088  22
5.984  100
5.631  18
2.477  14
2.330  14
2.247  14
2.131  21
1.997  15